# 1
# MgSc2Al
Theoretical PXRD pattern, Cu Kα X-rays. Input: a DFT-relaxed cell (GGA-PBE, the Materials Project).
No peak broadening, texture or thermal motion is included.

```
MgSc2Al
1.0
0.0000 3.4613 3.4613
3.4613 0.0000 3.4613
3.4613 3.4613 0.0000
Mg Sc Al
1 2 1
direct
0.0000 0.0000 0.0000 Mg
0.2500 0.2500 0.2500 Sc
0.7500 0.7500 0.7500 Sc
0.5000 0.5000 0.5000 Al
```

Peak list (9 most intense, 2θ = 10–90°, in order of falling intensity)
2θ 36.7, rel. 100; 2θ 66.1, rel. 31; 2θ 52.9, rel. 16; 2θ 89.6, rel. 13; 2θ 78.1, rel. 9; 2θ 25.7, rel. 9; 2θ 59.7, rel. 2; 2θ 45.4, rel. 2; 2θ 83.9, rel. 1

# 2
# BaH8PtC4N4O4
Theoretical PXRD pattern, Cu Kα X-rays. Input: a DFT-relaxed cell (GGA-PBE, the Materials Project).
No peak broadening, texture or thermal motion is included.

```
BaH8PtC4N4O4
1.0
6.1793 -6.9816 0.0000
6.1793 6.9816 0.0000
-2.0421 0.0000 6.3591
Ba H Pt C N O
2 16 2 8 8 8
direct
0.1296 0.8704 0.7500 Ba
0.8704 0.1296 0.2500 Ba
0.0064 0.2091 0.8423 H
0.0325 0.4097 0.6909 H
0.1259 0.6255 0.2784 H
0.1291 0.2145 0.0403 H
0.2092 0.0064 0.3423 H
0.2145 0.1291 0.5403 H
0.3745 0.8741 0.2216 H
0.4097 0.0325 0.1909 H
0.5903 0.9675 0.8091 H
0.6255 0.1259 0.7784 H
0.7855 0.8709 0.4597 H
0.7909 0.9936 0.6577 H
0.8709 0.7855 0.9597 H
0.8741 0.3745 0.7216 H
0.9675 0.5903 0.3091 H
0.9936 0.7909 0.1577 H
0.5000 0.5000 0.0000 Pt
0.5000 0.5000 0.5000 Pt
0.2866 0.4048 0.4130 C
0.3025 0.5644 0.9465 C
0.4048 0.2866 0.9130 C
0.4356 0.6975 0.5535 C
0.5644 0.3025 0.4465 C
0.5952 0.7134 0.0870 C
0.6975 0.4356 0.0535 C
0.7134 0.5952 0.5870 C
0.1605 0.3501 0.3629 N
0.1882 0.6066 0.9117 N
0.3501 0.1605 0.8629 N
0.3934 0.8118 0.5883 N
0.6066 0.1882 0.4117 N
0.6499 0.8395 0.1371 N
0.8118 0.3934 0.0883 N
0.8395 0.6499 0.6371 N
0.0429 0.1483 0.9421 O
0.0504 0.6727 0.3359 O
0.1483 0.0429 0.4421 O
0.3273 0.9496 0.1641 O
0.6727 0.0504 0.8359 O
0.8517 0.9571 0.5579 O
0.9496 0.3273 0.6641 O
0.9571 0.8517 0.0579 O
```

Peak list (10 most intense, 2θ = 10–90°, in order of falling intensity)
2θ 15.1, rel. 100; 2θ 20.5, rel. 64; 2θ 30.9, rel. 61; 2θ 27.5, rel. 54; 2θ 12.7, rel. 44; 2θ 33.0, rel. 31; 2θ 38.3, rel. 29; 2θ 19.7, rel. 29; 2θ 32.0, rel. 28; 2θ 29.8, rel. 27

# 3
# NaLaNbInO6
Theoretical PXRD pattern, Cu Kα X-rays. Input: a DFT-relaxed cell (GGA-PBE, the Materials Project).
No peak broadening, texture or thermal motion is included.

```
NaLaNbInO6
1.0
0.0000 4.1060 4.1060
4.1060 0.0000 4.1060
4.1060 4.1060 0.0000
Na La Nb In O
1 1 1 1 6
direct
0.0000 0.0000 0.0000 Na
0.5000 0.5000 0.5000 La
0.7500 0.7500 0.7500 Nb
0.2500 0.2500 0.2500 In
0.5078 0.5078 0.9922 O
0.5078 0.9922 0.5078 O
0.5078 0.9922 0.9922 O
0.9922 0.5078 0.5078 O
0.9922 0.5078 0.9922 O
0.9922 0.9922 0.5078 O
```

Peak list (10 most intense, 2θ = 10–90°, in order of falling intensity)
2θ 30.8, rel. 100; 2θ 54.8, rel. 39; 2θ 44.1, rel. 34; 2θ 18.7, rel. 25; 2θ 89.3, rel. 21; 2θ 64.2, rel. 21; 2θ 72.8, rel. 17; 2θ 36.3, rel. 15; 2θ 21.6, rel. 8; 2θ 81.1, rel. 7

Repeat the third record exactly.
# NaLaNbInO6
Theoretical PXRD pattern, Cu Kα X-rays. Input: a DFT-relaxed cell (GGA-PBE, the Materials Project).
No peak broadening, texture or thermal motion is included.

```
NaLaNbInO6
1.0
0.0000 4.1060 4.1060
4.1060 0.0000 4.1060
4.1060 4.1060 0.0000
Na La Nb In O
1 1 1 1 6
direct
0.0000 0.0000 0.0000 Na
0.5000 0.5000 0.5000 La
0.7500 0.7500 0.7500 Nb
0.2500 0.2500 0.2500 In
0.5078 0.5078 0.9922 O
0.5078 0.9922 0.5078 O
0.5078 0.9922 0.9922 O
0.9922 0.5078 0.5078 O
0.9922 0.5078 0.9922 O
0.9922 0.9922 0.5078 O
```

Peak list (10 most intense, 2θ = 10–90°, in order of falling intensity)
2θ 30.8, rel. 100; 2θ 54.8, rel. 39; 2θ 44.1, rel. 34; 2θ 18.7, rel. 25; 2θ 89.3, rel. 21; 2θ 64.2, rel. 21; 2θ 72.8, rel. 17; 2θ 36.3, rel. 15; 2θ 21.6, rel. 8; 2θ 81.1, rel. 7